No. 1
Structure and simulated X-ray powder pattern of TbTm6S8 (a GGA-PBE-relaxed structure; Cu Kα (λ = 1.5418 Å)).
Peak positions follow from Bragg's law for the DFT cell and can differ from measured ones.

Largest 12 diffraction maxima, most intense first, 5° ≤ 2θ ≤ 70°:
- 2θ = 33.0°, 2.715 Å, intensity 100, hkl 4 0 0
- 2θ = 28.5°, 3.135 Å, intensity 76, hkl 2 2 2
- 2θ = 47.3°, 1.920 Å, intensity 72, hkl 4 4 0
- 2θ = 56.2°, 1.637 Å, intensity 37, hkl 6 2 2
- 2θ = 58.9°, 1.568 Å, intensity 25, hkl 4 4 4
- 2θ = 69.2°, 1.358 Å, intensity 11, hkl 8 0 0
- 2θ = 14.1°, 6.271 Å, intensity 11, hkl 1 1 1
- 2θ = 16.3°, 5.431 Å, intensity 9, hkl 2 0 0
- 2θ = 27.2°, 3.275 Å, intensity 8, hkl 3 1 1
- 2θ = 23.2°, 3.840 Å, intensity 8, hkl 2 2 0
- 2θ = 37.0°, 2.429 Å, intensity 5, hkl 4 2 0
- 2θ = 36.0°, 2.492 Å, intensity 4, hkl 3 3 1

Cell and atoms:
```
data_TbTm6S8
_chemical_formula_sum 'Tb4 Tm24 S32'
_space_group_name_H-M_alt 'F m -3 m'
_space_group_IT_number 225
_space_group_name_Hall '-F 4 2 3'
_cell_length_a 10.861
_cell_length_b 10.861
_cell_length_c 10.861
_cell_angle_alpha 90.00
_cell_angle_beta 90.00
_cell_angle_gamma 90.00
loop_
_atom_site_label
_atom_site_fract_x
_atom_site_fract_y
_atom_site_fract_z
Tb1 0.000 0.000 0.000
Tm1 0.000 0.250 0.250
S1 0.000 0.000 0.255
S2 0.250 0.250 0.250
```



No. 2
Structure and simulated X-ray powder pattern of CaMgRh (a GGA-PBE-relaxed structure; Cu Kα (λ = 1.5418 Å)).
Peak positions follow from Bragg's law for the DFT cell and can differ from measured ones.

Largest 12 diffraction maxima, most intense first, 5° ≤ 2θ ≤ 70°:
- 2θ = 36.0°, 2.493 Å, intensity 100, hkl 1 2 1
- 2θ = 19.5°, 4.552 Å, intensity 95, hkl 1 0 1
- 2θ = 39.3°, 2.290 Å, intensity 50, hkl 0 2 2
- 2θ = 40.8°, 2.213 Å, intensity 48, hkl 1 0 3
- 2θ = 30.3°, 2.948 Å, intensity 36, hkl 2 0 0
- 2θ = 39.6°, 2.276 Å, intensity 31, hkl 2 0 2
- 2θ = 57.6°, 1.599 Å, intensity 25, hkl 3 2 1
- 2θ = 69.0°, 1.361 Å, intensity 22, hkl 2 2 4
- 2θ = 36.2°, 2.479 Å, intensity 21, hkl 2 1 1
- 2θ = 50.5°, 1.809 Å, intensity 20, hkl 2 2 2
- 2θ = 24.9°, 3.581 Å, intensity 16, hkl 0 0 2
- 2θ = 43.2°, 2.096 Å, intensity 14, hkl 2 2 0

Cell and atoms:
```
data_CaMgRh
_chemical_formula_sum 'Ca4 Mg4 Rh4'
_space_group_name_H-M_alt 'I m m a'
_space_group_IT_number 74
_space_group_name_Hall '-I 2b 2'
_cell_length_a 5.896
_cell_length_b 5.959
_cell_length_c 7.162
_cell_angle_alpha 90.00
_cell_angle_beta 90.00
_cell_angle_gamma 90.00
loop_
_atom_site_label
_atom_site_fract_x
_atom_site_fract_y
_atom_site_fract_z
Ca1 0.000 0.250 0.155
Mg1 0.250 0.250 0.750
Rh1 0.000 0.000 0.500
```